1.
The following is a computed powder diffraction line list of Cu6Ag. It was derived from DFT lattice parameters and positions (PBE), using copper Kα.
Lines closer than 0.1° are merged.

Structure:
```
Cu6Ag
1.0
-1.3256 1.3256 12.5911
1.3256 -1.3256 12.5911
1.3256 1.3256 -12.5911
Cu Ag
6 1
Direct
0.0801 0.0801 0.0000 Cu
0.2161 0.2161 0.0000 Cu
0.3520 0.3520 0.0000 Cu
0.6480 0.6480 0.0000 Cu
0.7839 0.7839 0.0000 Cu
0.9199 0.9199 0.0000 Cu
0.5000 0.5000 0.0000 Ag
```

Main lines, in order of rising 2θ (2θ from 10° to 90°):
2θ/deg, intensity
35.5, 2
38.4, 5
42.3, 100
43.1, 2
48.6, 35
50.8, 12
66.9, 2
71.1, 10
72.9, 15
81.1, 2
86.4, 22
89.8, 7

---

2.
The following is a computed powder diffraction line list of Cu5Ag2. It was derived from DFT lattice parameters and positions (PBE), using copper Kα.
Lines closer than 0.1° are merged.

Structure:
```
Cu5Ag2
1.0
4.2583 -1.8738 0.0000
4.2583 1.8738 0.0000
-0.9217 0.0000 5.9573
Cu Ag
5 2
Direct
0.0000 0.0000 0.0000 Cu
0.1485 0.1485 0.4267 Cu
0.2864 0.2864 0.8552 Cu
0.7136 0.7136 0.1448 Cu
0.8515 0.8515 0.5733 Cu
0.4279 0.4279 0.2788 Ag
0.5721 0.5721 0.7212 Ag
```

Main lines, in order of rising 2θ (2θ from 10° to 90°):
2θ/deg, intensity
41.2, 100
41.4, 99
47.6, 32
48.0, 31
48.6, 30
70.3, 18
70.7, 18
84.0, 11
84.4, 11
84.7, 11
85.1, 11
85.7, 11

---

3.
The following is a computed powder diffraction line list of Cu5Ag2. It was derived from DFT lattice parameters and positions (PBE), using copper Kα.
Lines closer than 0.1° are merged.

Structure:
```
Cu5Ag2
1.0
5.6108 -1.3649 0.0000
5.6108 1.3649 0.0000
-2.1570 0.0000 6.2366
Cu Ag
5 2
Direct
0.0000 0.0000 0.0000 Cu
0.2885 0.2885 0.8652 Cu
0.4144 0.4144 0.2503 Cu
0.5856 0.5856 0.7497 Cu
0.7115 0.7115 0.1348 Cu
0.1303 0.1303 0.4290 Ag
0.8697 0.8697 0.5710 Ag
```

Main lines, in order of rising 2θ (2θ from 10° to 90°):
2θ/deg, intensity
38.0, 10
41.1, 95
41.4, 100
46.8, 65
50.3, 26
68.0, 10
68.8, 10
71.2, 32
82.8, 18
83.4, 23
88.5, 8
90.0, 9

---

4.
The following is a computed powder diffraction line list of Cu3Ag5. It was derived from DFT lattice parameters and positions (PBE), using copper Kα.
Lines closer than 0.1° are merged.

Structure:
```
Cu3Ag5
1.0
4.8150 0.0000 0.0000
0.0000 5.6886 0.0000
-1.6280 0.0000 4.6139
Cu Ag
3 5
Direct
0.0000 0.0000 0.0000 Cu
0.0000 0.2391 0.5000 Cu
0.0000 0.7609 0.5000 Cu
0.0000 0.5000 0.0000 Ag
0.5000 0.0000 0.5000 Ag
0.5000 0.2445 0.0000 Ag
0.5000 0.5000 0.5000 Ag
0.5000 0.7555 0.0000 Ag
```

Main lines, in order of rising 2θ (2θ from 10° to 90°):
2θ/deg, intensity
39.0, 100
39.7, 32
45.4, 42
45.8, 21
66.0, 13
66.9, 12
79.1, 7
79.5, 7
79.7, 11
80.1, 7
80.5, 7
83.7, 7

---

5.
The following is a computed powder diffraction line list of Cu3Ag7. It was derived from DFT lattice parameters and positions (PBE), using copper Kα.
Lines closer than 0.1° are merged.

Structure:
```
Cu3Ag7
1.0
7.4758 -1.4465 0.0000
7.4758 1.4465 0.0000
-2.0403 0.0000 7.5264
Cu Ag
3 7
Direct
0.0000 0.0000 0.0000 Cu
0.0021 0.0021 0.5034 Cu
0.1975 0.1975 0.0997 Cu
0.1959 0.1959 0.5993 Ag
0.4038 0.4038 0.7018 Ag
0.4076 0.4076 0.2059 Ag
0.5973 0.5973 0.8128 Ag
0.5989 0.5989 0.2872 Ag
0.7985 0.7985 0.3897 Ag
0.7985 0.7985 0.9108 Ag
```

Main lines, in order of rising 2θ (2θ from 10° to 90°):
2θ/deg, intensity
23.6, 2
38.8, 100
44.3, 34
46.6, 14
64.4, 5
64.6, 5
66.3, 18
77.8, 12
77.9, 11
81.1, 10
83.2, 5
83.3, 5

---

6.
The following is a computed powder diffraction line list of CuAg9. It was derived from DFT lattice parameters and positions (PBE), using copper Kα.
Lines closer than 0.1° are merged.

Structure:
```
CuAg9
1.0
4.5981 -2.0530 0.0000
4.5981 2.0530 0.0000
-0.0197 0.0000 9.1757
Cu Ag
1 9
Direct
0.0000 0.0000 0.0000 Cu
0.1007 0.1007 0.7070 Ag
0.1992 0.1992 0.3987 Ag
0.2980 0.2980 0.0965 Ag
0.4048 0.4048 0.8070 Ag
0.5000 0.5000 0.5000 Ag
0.5952 0.5952 0.1930 Ag
0.7020 0.7020 0.9035 Ag
0.8008 0.8008 0.6013 Ag
0.8993 0.8993 0.2930 Ag
```

Main lines, in order of rising 2θ (2θ from 10° to 90°):
2θ/deg, intensity
30.8, 1
37.9, 100
44.1, 32
44.2, 16
64.1, 15
64.2, 15
76.9, 11
77.0, 17
77.1, 5
81.1, 5
81.1, 5